# 1
Theoretical PXRD pattern of KInP2O7 for Cu Kα, 1.54184 Å, from a structure optimized by DFT (GGA-PBE).

Structural model:
```
data_KInP2O7
_symmetry_space_group_name_H-M 'P 1'
_symmetry_Int_Tables_number 1
_symmetry_space_group_name_Hall 'P 1'
_cell_length_a 7.5564
_cell_length_b 10.6103
_cell_length_c 8.5832
_cell_angle_alpha 90.00
_cell_angle_beta 107.01
_cell_angle_gamma 90.00
loop_
_atom_site_label
_atom_site_type_symbol
_atom_site_fract_x
_atom_site_fract_y
_atom_site_fract_z
K1 K 0.1731 0.1792 0.0636
K2 K 0.1731 0.3208 0.5636
K3 K 0.8269 0.6792 0.4364
K4 K 0.8269 0.8208 0.9364
In1 In 0.2365 0.6004 0.2570
In2 In 0.2365 0.8996 0.7570
In3 In 0.7635 0.1004 0.2430
In4 In 0.7635 0.3996 0.7430
P1 P 0.1283 0.6000 0.8220
P2 P 0.1283 0.9000 0.3220
P3 P 0.4418 0.6381 0.6941
P4 P 0.4418 0.8619 0.1941
P5 P 0.5582 0.1381 0.8059
P6 P 0.5582 0.3619 0.3059
P7 P 0.8717 0.1000 0.6780
P8 P 0.8717 0.4000 0.1780
O1 O 0.0080 0.0037 0.2172
O2 O 0.0080 0.4963 0.7172
O3 O 0.0684 0.7299 0.7434
O4 O 0.0684 0.7701 0.2434
O5 O 0.1312 0.5965 0.9982
O6 O 0.1312 0.9035 0.4982
O7 O 0.3231 0.6064 0.5223
O8 O 0.3231 0.8936 0.0223
O9 O 0.3382 0.5719 0.8156
O10 O 0.3382 0.9281 0.3156
O11 O 0.3634 0.0812 0.7596
O12 O 0.3634 0.4188 0.2596
O13 O 0.4616 0.7207 0.2379
O14 O 0.4616 0.7793 0.7379
O15 O 0.5384 0.2207 0.2621
O16 O 0.5384 0.2793 0.7621
O17 O 0.6366 0.5812 0.7404
O18 O 0.6366 0.9188 0.2404
O19 O 0.6618 0.0719 0.6844
O20 O 0.6618 0.4281 0.1844
O21 O 0.6769 0.1064 0.9777
O22 O 0.6769 0.3936 0.4777
O23 O 0.8688 0.0965 0.5018
O24 O 0.8688 0.4035 0.0018
O25 O 0.9316 0.2299 0.7566
O26 O 0.9316 0.2701 0.2566
O27 O 0.9920 0.5037 0.2828
O28 O 0.9920 0.9963 0.7828
```

Main lines, by angle (15 to 90 degrees two-theta):
2θ (°), Rel. int.
16.10, 43
21.65, 61
23.16, 15
27.43, 16
28.09, 54
29.24, 100
32.54, 21
36.67, 17
42.99, 15
45.59, 14
51.49, 18
56.70, 16

---

# 2
Theoretical PXRD pattern of KInP2O8 for Cu Kα, 1.54184 Å, from a structure optimized by DFT (GGA-PBE).

Structural model:
```
data_KInP2O8
_symmetry_space_group_name_H-M 'P 1'
_symmetry_Int_Tables_number 1
_symmetry_space_group_name_Hall 'P 1'
_cell_length_a 9.7820
_cell_length_b 8.5704
_cell_length_c 9.6101
_cell_angle_alpha 90.00
_cell_angle_beta 115.71
_cell_angle_gamma 90.00
loop_
_atom_site_label
_atom_site_type_symbol
_atom_site_fract_x
_atom_site_fract_y
_atom_site_fract_z
K1 K 0.1802 0.1350 0.0925
K2 K 0.1802 0.3650 0.5925
K3 K 0.8198 0.6350 0.4075
K4 K 0.8198 0.8650 0.9075
In1 In 0.2558 0.6268 0.9914
In2 In 0.2558 0.8732 0.4914
In3 In 0.7442 0.1268 0.5086
In4 In 0.7442 0.3732 0.0086
P1 P 0.0910 0.5632 0.2381
P2 P 0.0910 0.9368 0.7381
P3 P 0.4935 0.6778 0.8255
P4 P 0.4935 0.8222 0.3255
P5 P 0.5065 0.1778 0.6745
P6 P 0.5065 0.3222 0.1745
P7 P 0.9090 0.0632 0.2619
P8 P 0.9090 0.4368 0.7619
O1 O 0.0780 0.0151 0.3105
O2 O 0.0780 0.4849 0.8105
O3 O 0.1135 0.6509 0.1114
O4 O 0.1135 0.8491 0.6114
O5 O 0.1424 0.6576 0.3884
O6 O 0.1424 0.8424 0.8884
O7 O 0.1586 0.1053 0.7705
O8 O 0.1586 0.3947 0.2705
O9 O 0.3591 0.0827 0.6192
O10 O 0.3591 0.4173 0.1192
O11 O 0.3645 0.5880 0.8410
O12 O 0.3645 0.9120 0.3410
O13 O 0.4468 0.7369 0.6574
O14 O 0.4468 0.7631 0.1574
O15 O 0.4741 0.1584 0.0961
O16 O 0.4741 0.3416 0.5961
O17 O 0.5259 0.6584 0.4039
O18 O 0.5259 0.8416 0.9039
O19 O 0.5532 0.2369 0.8426
O20 O 0.5532 0.2631 0.3426
O21 O 0.6355 0.0880 0.6590
O22 O 0.6355 0.4120 0.1590
O23 O 0.6409 0.5827 0.8808
O24 O 0.6409 0.9173 0.3808
O25 O 0.8414 0.6053 0.7295
O26 O 0.8414 0.8947 0.2295
O27 O 0.8576 0.1576 0.1116
O28 O 0.8576 0.3424 0.6116
O29 O 0.8865 0.1509 0.3886
O30 O 0.8865 0.3491 0.8886
O31 O 0.9220 0.5151 0.1895
O32 O 0.9220 0.9849 0.6895
```

Main lines, by angle (15 to 90 degrees two-theta):
2θ (°), Rel. int.
20.14, 13
21.65, 43
23.04, 28
23.42, 19
27.05, 100
28.39, 19
28.59, 17
30.26, 31
30.57, 33
34.75, 23
42.17, 27
57.80, 15

---

# 3
Theoretical PXRD pattern of KPrInSbO6 for Cu Kα, 1.54184 Å, from a structure optimized by DFT (GGA-PBE).

Structural model:
```
data_KPrInSbO6
_symmetry_space_group_name_H-M 'P 1'
_symmetry_Int_Tables_number 1
_symmetry_space_group_name_Hall 'P 1'
_cell_length_a 5.8023
_cell_length_b 5.8023
_cell_length_c 5.8023
_cell_angle_alpha 60.00
_cell_angle_beta 60.00
_cell_angle_gamma 60.00
loop_
_atom_site_label
_atom_site_type_symbol
_atom_site_fract_x
_atom_site_fract_y
_atom_site_fract_z
K1 K 0.0000 0.0000 0.0000
Pr1 Pr 0.5000 0.5000 0.5000
In1 In 0.7500 0.7500 0.7500
Sb1 Sb 0.2500 0.2500 0.2500
O1 O 0.0087 0.0087 0.4913
O2 O 0.0087 0.4913 0.0087
O3 O 0.0087 0.4913 0.4913
O4 O 0.4913 0.0087 0.0087
O5 O 0.4913 0.0087 0.4913
O6 O 0.4913 0.4913 0.0087
```

Main lines, by angle (15 to 90 degrees two-theta):
2θ (°), Rel. int.
18.73, 15
21.66, 7
30.82, 100
36.31, 9
44.15, 32
48.35, 4
54.81, 39
58.44, 3
64.21, 19
72.91, 17
81.22, 6
89.35, 21

---

- Which formula does entry 3 have?
  KPrInSbO6